Diffraction record for PmCdCoO4. The powder diffraction line list is calculated, not measured: it uses a crystal structure in Alexandria, relaxed with PBE+U and Cu Kα.
Lines closer than 0.1° are merged.

Largest 6 diffraction maxima, in order of rising 2θ, 15 to 90 degrees two-theta:
2θ (°), intensity
29.35, 49
30.48, 100
31.72, 77
43.41, 32
55.24, 29
61.43, 22

```
PmCdCoO4
1.0
3.043 -4.776 0.000
3.043 4.776 0.000
0.000 0.000 7.147
Pm Cd Co O
2 2 2 8
Cartesian
0.000 0.000 0.000
0.000 0.000 3.573
3.043 1.557 5.360
3.043 -1.557 1.787
3.043 1.487 1.787
3.043 -1.487 5.360
1.558 0.195 1.787
3.043 2.422 0.235
3.043 2.422 3.338
1.558 -0.195 5.360
4.529 0.195 1.787
3.043 -2.422 3.809
3.043 -2.422 6.911
4.529 -0.195 5.360
```